SnMo2F8: computed XRD peak list (Cu Kα, 1.54184 Å), based on the GGA+U geometry in Alexandria.
Lines closer than 0.1° are merged.

Most intense lines, 10 to 80 degrees two-theta, in order of rising 2θ:
| Position (°2θ) | I_rel | (hkl) |
| --- | --- | --- |
| 16.37 | 31 | 2 0 0 |
| 22.83 | 85 | 0 2 0 |
| 25.06 | 100 | 1 1 1 |
| 25.85 | 70 | 2 0 -1 |
| 27.23 | 50 | 3 1 0 |
| 34.76 | 41 | 3 1 1 |
| 41.48 | 38 | 1 3 1 |
| 43.36 | 34 | 5 1 0 |
| 43.74 | 25 | 1 1 -2 |
| 44.28 | 21 | 1 1 2 |
| 46.64 | 26 | 0 4 0 |
| 55.23 | 18 | 5 3 0 |

Cell and atoms:
abc: 10.835 7.790 4.354
angles: 90.00 91.86 90.00
Space group C2/m (No. 12)
One atom of each set of equivalent atoms:
Sn 0.000 0.000 0.000 (multiplicity 2)
Mo 0.123 0.500 0.255 (multiplicity 4)
F 0.086 0.500 0.753 (multiplicity 4)
F 0.109 0.237 0.247 (multiplicity 8)
F 0.191 0.000 0.740 (multiplicity 4)